[1]
This entry pairs a crystal structure of MgSc3Tc with its calculated powder X-ray diffraction pattern. Radiation: λ = 1.5418 Å (Cu Kα). Structure: DFT lattice parameters and positions (PBE).
Neutral-atom scattering factors, no anomalous dispersion.

Top 8 peaks for 2θ = 10–90°, in order of rising 2θ:
- 12.3 deg, I = 100
- 14.2 deg, I = 22
- 35.5 deg, I = 40
- 35.6 deg, I = 41
- 36.2 deg, I = 83
- 37.3 deg, I = 80
- 45.8 deg, I = 16
- 67.0 deg, I = 23

Structural model:
```
MgSc3Tc
1.0
8.8675 -1.6769 0.0000
8.8675 1.6769 0.0000
-1.5595 0.0000 7.2210
Mg Sc Tc
2 6 2
direct
0.0951 0.0951 0.0439
0.9049 0.9049 0.9561
0.3122 0.3122 0.1930
0.3185 0.3185 0.6262
0.4989 0.4989 0.2988
0.5011 0.5011 0.7012
0.6815 0.6815 0.3738
0.6878 0.6878 0.8070
0.0996 0.0996 0.5519
0.9004 0.9004 0.4481
```

[2]
This entry pairs a crystal structure of MgSc2Te3 with its calculated powder X-ray diffraction pattern. Radiation: λ = 1.5418 Å (Cu Kα). Structure: DFT lattice parameters and positions (PBE).
Neutral-atom scattering factors, no anomalous dispersion.

Top 8 peaks for 2θ = 10–90°, in order of rising 2θ:
- 27.5 deg, I = 100
- 36.3 deg, I = 42
- 42.1 deg, I = 36
- 47.9 deg, I = 22
- 50.7 deg, I = 12
- 51.1 deg, I = 18
- 68.3 deg, I = 15
- 72.1 deg, I = 14

Structural model:
```
MgSc2Te3
1.0
3.7147 2.1447 6.6221
-3.7147 2.1447 6.6221
0.0000 -4.2894 6.6221
Mg Sc Te
2 4 6
direct
0.0000 0.0000 0.0000
0.5000 0.5000 0.5000
0.1672 0.1672 0.1672
0.3328 0.3328 0.3328
0.6672 0.6672 0.6672
0.8328 0.8328 0.8328
0.0822 0.7500 0.4178
0.2500 0.5822 0.9178
0.4178 0.0822 0.7500
0.5822 0.9178 0.2500
0.7500 0.4178 0.0822
0.9178 0.2500 0.5822
```

[3]
This entry pairs a crystal structure of Th4MgSc5 with its calculated powder X-ray diffraction pattern. Radiation: λ = 1.5418 Å (Cu Kα). Structure: DFT lattice parameters and positions (PBE).
Neutral-atom scattering factors, no anomalous dispersion.

Top 8 peaks for 2θ = 10–90°, in order of rising 2θ:
- 20.0 deg, I = 29
- 25.3 deg, I = 36
- 30.1 deg, I = 15
- 32.5 deg, I = 100
- 36.1 deg, I = 41
- 41.7 deg, I = 19
- 55.6 deg, I = 17
- 62.7 deg, I = 30

Structural model:
```
Th4MgSc5
1.0
3.5141 0.0000 0.0000
0.0000 3.5141 0.0000
0.0000 0.0000 22.1559
Th Mg Sc
4 1 5
direct
0.0000 0.0000 0.1038
0.0000 0.0000 0.3116
0.0000 0.0000 0.6884
0.0000 0.0000 0.8962
0.0000 0.0000 0.5000
0.5000 0.5000 0.0000
0.5000 0.5000 0.2075
0.5000 0.5000 0.4122
0.5000 0.5000 0.5878
0.5000 0.5000 0.7925
```